Calculated powder diffraction line list
Compound: NbPO5
Radiation: a wavelength of 1.5418 Å
Structure: a DFT-relaxed cell (GGA-PBE, the Materials Project)
Neutral-atom scattering factors, no anomalous dispersion.

Unit cell a=6.5132 b=6.5132 c=4.2134 alpha=90.00 beta=90.00 gamma=90.00
Space group P4/nmm (No. 129, origin choice 2)
Asymmetric unit:
Nb 0.2500 0.2500 0.2235 x2
P 0.2500 0.7500 0.5000 x2
O 0.0565 0.7500 0.7102 x8
O 0.2500 0.2500 0.8004 x2

Largest 6 diffraction maxima, in order of falling intensity, 10 to 90 degrees two-theta:
index, 2theta, d (Å), intensity
1 0 1, 25.17, 3.538, 100
2 0 0, 27.39, 3.257, 95
3 0 1, 47.09, 1.930, 32
1 1 0, 19.27, 4.606, 30
3 1 2, 63.13, 1.473, 29
1 1 1, 28.72, 3.109, 25